Structure and simulated PXRD pattern of Fe2SO6 (a structure optimized by DFT (PBE+U); Cu Kα).
Neutral-atom scattering factors, no anomalous dispersion.

Structural model:
Cell: 4.8424 4.8837 7.9399 Å, 90.00 90.00 90.00°
Fractional positions:
Fe: 0.0000 0.0000 0.2009
Fe: 0.0000 0.0000 0.7991
Fe: 0.5000 0.5000 0.2991
Fe: 0.5000 0.5000 0.7009
S: 0.0000 0.5000 0.0000
S: 0.5000 0.0000 0.5000
O: 0.1844 0.2167 0.0000
O: 0.2014 0.6440 0.1520
O: 0.2014 0.6440 0.8480
O: 0.2986 0.1440 0.3480
O: 0.2986 0.1440 0.6520
O: 0.3156 0.7167 0.5000
O: 0.6844 0.2833 0.5000
O: 0.7014 0.8560 0.3480
O: 0.7014 0.8560 0.6520
O: 0.7986 0.3560 0.1520
O: 0.7986 0.3560 0.8480
O: 0.8156 0.7833 0.0000

Most intense lines, 2θ = 5–70°, low angle first:
- (1 0 1), 2θ = 21.49°, rel. 100
- (1 1 0), 2θ = 25.91°, rel. 36
- (1 1 2), 2θ = 34.51°, rel. 91
- (0 1 3), 2θ = 38.73°, rel. 24
- (1 1 3), 2θ = 43.13°, rel. 17
- (2 2 0), 2θ = 53.28°, rel. 26
- (2 1 3), 2θ = 54.71°, rel. 37
- (1 0 5), 2θ = 61.44°, rel. 17